Starting from a DFT-relaxed cell (GGA-PBE, OQMD), the XRD peak list of AgAsPbO4 was simulated for Cu Kα, 1.54184 Å.
Peak positions follow from Bragg's law for the DFT cell and can differ from measured ones.

Peak list (8 most intense, 2θ = 5–70°, most intense first)
2θ/deg, I (rel.)
27.4, 100
25.5, 88
21.4, 79
50.0, 76
31.4, 71
37.7, 69
31.5, 62
32.8, 55

abc: 4.784 8.525 5.781
angles: 90.00 94.85 90.00
Positions (direct):
Ag: 0.000 0.000 0.000
Ag: 0.000 0.000 0.500
As: 0.000 0.340 0.250
As: 0.000 0.660 0.750
Pb: 0.500 0.332 0.750
Pb: 0.500 0.668 0.250
O: 0.159 0.224 0.053
O: 0.159 0.776 0.553
O: 0.253 0.450 0.400
O: 0.253 0.550 0.900
O: 0.747 0.450 0.100
O: 0.747 0.550 0.600
O: 0.841 0.224 0.447
O: 0.841 0.776 0.947

***

Starting from a DFT-relaxed cell (GGA-PBE, OQMD), the XRD peak list of PrAgAsO was simulated for Cu Kα, 1.54184 Å.
Peak positions follow from Bragg's law for the DFT cell and can differ from measured ones.

Peak list (8 most intense, 2θ = 5–70°, most intense first)
2θ/deg, I (rel.)
29.1, 100
36.5, 64
32.2, 48
43.9, 45
53.5, 40
50.6, 36
63.8, 14
68.4, 13

abc: 4.128 4.128 9.180
angles: 90.00 90.00 90.00
Positions (direct):
Pr: 0.250 0.250 0.128
Pr: 0.750 0.750 0.872
Ag: 0.250 0.750 0.500
Ag: 0.750 0.250 0.500
As: 0.250 0.250 0.686
As: 0.750 0.750 0.314
O: 0.250 0.750 0.000
O: 0.750 0.250 0.000

***

Starting from a DFT-relaxed cell (GGA-PBE, OQMD), the XRD peak list of Pr2ZnAgAs2O2 was simulated for Cu Kα, 1.54184 Å.
Peak positions follow from Bragg's law for the DFT cell and can differ from measured ones.

Peak list (8 most intense, 2θ = 5–70°, most intense first)
2θ/deg, I (rel.)
29.3, 100
36.8, 57
44.4, 42
54.1, 41
32.5, 37
50.8, 35
64.6, 13
31.0, 13

abc: 4.078 4.078 9.180
angles: 90.00 90.00 90.00
Positions (direct):
Pr: 0.000 0.500 0.130
Pr: 0.500 0.000 0.870
Zn: 0.500 0.500 0.500
Ag: 0.000 0.000 0.500
As: 0.000 0.500 0.683
As: 0.500 0.000 0.317
O: 0.000 0.000 0.000
O: 0.500 0.500 0.000

***

Starting from a DFT-relaxed cell (GGA-PBE, OQMD), the XRD peak list of RbAg2AsS2O2 was simulated for Cu Kα, 1.54184 Å.
Peak positions follow from Bragg's law for the DFT cell and can differ from measured ones.

Peak list (8 most intense, 2θ = 5–70°, most intense first)
2θ/deg, I (rel.)
30.3, 100
28.8, 96
40.6, 43
28.6, 34
28.2, 32
49.8, 23
53.1, 23
33.2, 19

abc: 5.915 5.915 6.251
angles: 118.56 118.56 64.80
Positions (direct):
Rb: 0.000 0.000 0.000
Ag: 0.195 0.310 0.734
Ag: 0.690 0.805 0.266
As: 0.405 0.595 0.500
S: 0.488 0.245 0.168
S: 0.755 0.512 0.832
O: 0.123 0.620 0.538
O: 0.380 0.877 0.462

***

Starting from a DFT-relaxed cell (GGA-PBE, OQMD), the XRD peak list of RbAg2AsS3O was simulated for Cu Kα, 1.54184 Å.
Peak positions follow from Bragg's law for the DFT cell and can differ from measured ones.

Peak list (8 most intense, 2θ = 5–70°, most intense first)
2θ/deg, I (rel.)
28.1, 100
27.1, 56
29.4, 40
27.6, 36
38.1, 25
49.8, 22
47.9, 20
52.0, 20

abc: 6.383 6.383 6.084
angles: 116.29 116.29 95.52
Positions (direct):
Rb: 0.000 0.000 0.000
Ag: 0.211 0.706 0.439
Ag: 0.706 0.211 0.439
As: 0.441 0.441 0.898
S: 0.111 0.493 0.923
S: 0.493 0.111 0.923
S: 0.770 0.770 0.295
O: 0.398 0.398 0.580

***

Starting from a DFT-relaxed cell (GGA-PBE, OQMD), the XRD peak list of RbAg2AsS2O2 was simulated for Cu Kα, 1.54184 Å.
Peak positions follow from Bragg's law for the DFT cell and can differ from measured ones.

Peak list (8 most intense, 2θ = 5–70°, most intense first)
2θ/deg, I (rel.)
29.6, 100
27.3, 81
30.8, 80
48.9, 45
51.2, 42
55.3, 38
37.0, 30
40.8, 24

abc: 6.204 5.866 6.571
angles: 59.52 54.58 65.90
Positions (direct):
Rb: 0.000 0.000 0.000
Ag: 0.253 0.253 0.247
Ag: 0.753 0.753 0.747
As: 0.526 0.526 0.474
S: 0.172 0.547 0.453
S: 0.547 0.172 0.828
O: 0.484 0.809 0.516
O: 0.809 0.484 0.191